The following is a calculated powder diffraction line list of FeAs2O7. It was derived from a structure optimized by DFT (GGA+U), using CuKα.

Top 10 peaks for 2θ = 15–90°, low angle first:
h k l	d_spacing	intensity
0 2 0	4.719	68
0 0 2	4.606	23
1 0 -2	4.432	35
1 1 1	4.342	60
1 0 2	3.412	51
1 2 -2	3.229	100
2 1 -2	3.037	66
2 2 0	2.774	20
1 2 2	2.765	39
3 1 0	2.222	18

Cell and atoms:
```
data_FeAs2O7
_chemical_formula_sum 'Fe4 As8 O28'
_space_group_name_H-M_alt 'P 1 21/c 1'
_space_group_IT_number 14
_cell_length_a 7.135
_cell_length_b 9.437
_cell_length_c 9.585
_cell_angle_alpha 90.00
_cell_angle_beta 106.04
_cell_angle_gamma 90.00
loop_
_space_group_symop_operation_xyz
'x,y,z'
'-x,-y,-z'
'-x,y+1/2,-z+1/2'
'x,-y+1/2,z+1/2'
loop_
_atom_site_label
_atom_site_type_symbol
_atom_site_fract_x
_atom_site_fract_y
_atom_site_fract_z
_atom_site_occupancy
Fe1 Fe 0.180 0.069 0.286 1
As1 As 0.022 0.703 0.963 1
As2 As 0.409 0.742 0.744 1
O1 O 0.016 0.628 0.393 1
O2 O 0.025 0.586 0.829 1
O3 O 0.157 0.177 0.454 1
O4 O 0.247 0.668 0.095 1
O5 O 0.362 0.226 0.270 1
O6 O 0.368 0.565 0.744 1
O7 O 0.390 0.663 0.394 1
```

The following is a calculated powder diffraction line list of LiCoPO4. It was derived from a structure optimized by DFT (GGA+U), using CuKα.

Top 10 peaks for 2θ = 15–90°, low angle first:
h k l	d_spacing	intensity
0 0 2	4.705	100
1 0 0	4.477	78
1 0 1	4.042	100
1 1 0	2.585	49
1 -1 3	2.569	48
-2 2 1	2.178	23
-1 1 5	1.735	24
-1 3 1	1.665	17
3 0 0	1.492	19
1 -3 3	1.489	17

Cell and atoms:
```
data_LiCoPO4
_chemical_formula_sum 'Li2 Co2 P2 O8'
_space_group_name_H-M_alt 'P 1'
_space_group_IT_number 1
_cell_length_a 5.169
_cell_length_b 5.169
_cell_length_c 9.409
_cell_angle_alpha 90.03
_cell_angle_beta 90.05
_cell_angle_gamma 120.00
loop_
_space_group_symop_operation_xyz
'x,y,z'
loop_
_atom_site_label
_atom_site_type_symbol
_atom_site_fract_x
_atom_site_fract_y
_atom_site_fract_z
_atom_site_occupancy
Li1 Li 0.000 0.000 0.000 1
Li2 Li 0.000 0.001 0.500 1
Co1 Co 0.333 0.667 0.395 1
Co2 Co 0.666 0.333 0.895 1
P1 P 0.333 0.667 0.030 1
P2 P 0.667 0.334 0.530 1
O1 O 0.049 0.384 0.973 1
O2 O 0.332 0.667 0.192 1
O3 O 0.335 0.951 0.973 1
O4 O 0.384 0.336 0.473 1
O5 O 0.616 0.664 0.974 1
O6 O 0.665 0.049 0.474 1
O7 O 0.666 0.334 0.692 1
O8 O 0.952 0.617 0.474 1
```

The following is a calculated powder diffraction line list of MgMn6O8F4. It was derived from a structure optimized by DFT (GGA+U), using CuKα.

Top 10 peaks for 2θ = 15–90°, low angle first:
h k l	d_spacing	intensity
-1 1 1	3.788	100
1 1 -1	3.216	97
-1 1 2	2.729	29
1 0 2	2.628	42
1 -2 2	2.587	57
2 -1 1	2.556	21
-1 2 1	2.392	21
2 0 1	2.213	25
1 2 -4	1.695	22
2 -2 4	1.524	26

Cell and atoms:
```
data_MgMn6O8F4
_chemical_formula_sum 'Mg1 Mn6 O8 F4'
_space_group_name_H-M_alt 'P 1'
_space_group_IT_number 1
_cell_length_a 5.684
_cell_length_b 5.899
_cell_length_c 7.846
_cell_angle_alpha 107.90
_cell_angle_beta 96.54
_cell_angle_gamma 112.46
loop_
_space_group_symop_operation_xyz
'x,y,z'
loop_
_atom_site_label
_atom_site_type_symbol
_atom_site_fract_x
_atom_site_fract_y
_atom_site_fract_z
_atom_site_occupancy
Mg1 Mg 0.000 0.000 0.000 1
Mn1 Mn 0.008 0.511 0.008 1
Mn2 Mn 0.052 0.028 0.498 1
Mn3 Mn 0.314 0.561 0.368 1
Mn4 Mn 0.381 0.983 0.814 1
Mn5 Mn 0.623 0.082 0.231 1
Mn6 Mn 0.711 0.467 0.649 1
O1 O 0.054 0.690 0.828 1
O2 O 0.264 0.847 0.548 1
O3 O 0.352 0.316 0.484 1
O4 O 0.361 0.723 0.189 1
O5 O 0.403 0.137 0.072 1
O6 O 0.663 0.313 0.833 1
O7 O 0.823 0.192 0.474 1
O8 O 0.954 0.305 0.168 1
F1 F 0.095 0.169 0.808 1
F2 F 0.627 0.802 0.849 1
F3 F 0.741 0.697 0.488 1
F4 F 0.918 0.831 0.185 1
```

The following is a calculated powder diffraction line list of SrMgSnWO6. It was derived from a structure optimized by DFT (GGA+U), using CuKα.

Top 10 peaks for 2θ = 15–90°, low angle first:
h k l	d_spacing	intensity
1 1 1	4.633	40
2 2 0	2.837	100
3 1 1	2.420	22
4 0 0	2.006	33
3 3 1	1.841	9
4 2 2	1.638	41
5 1 1	1.544	8
4 4 0	1.419	20
5 3 1	1.357	8
6 2 0	1.269	18

Cell and atoms:
```
data_SrMgSnWO6
_chemical_formula_sum 'Sr4 Mg4 Sn4 W4 O24'
_space_group_name_H-M_alt 'F -4 3 m'
_space_group_IT_number 216
_space_group_name_Hall 'F -4 2 3'
_cell_length_a 8.025
_cell_length_b 8.025
_cell_length_c 8.025
_cell_angle_alpha 90.00
_cell_angle_beta 90.00
_cell_angle_gamma 90.00
loop_
_atom_site_label
_atom_site_type_symbol
_atom_site_fract_x
_atom_site_fract_y
_atom_site_fract_z
_atom_site_occupancy
Sr1 Sr 0.000 0.000 0.000 1
Mg1 Mg 0.250 0.250 0.750 1
Sn1 Sn 0.000 0.000 0.500 1
W1 W 0.250 0.250 0.250 1
O1 O 0.007 0.250 0.250 1
```